(1)
This entry pairs a crystal structure of Sm3Au with its calculated X-ray diffraction stick pattern. Radiation: Cu Kα (weighted mean of Kα1 and Kα2). Structure: a cell relaxed with PBE.

Crystal structure
```
data_Sm3Au
_chemical_formula_sum 'Sm12 Au4'
_cell_length_a 3.7992
_cell_length_b 12.4937
_cell_length_c 9.9429
_cell_angle_alpha 90.00
_cell_angle_beta 90.00
_cell_angle_gamma 90.00
_symmetry_space_group_name_H-M 'C m c m'
_symmetry_Int_Tables_number 63
_symmetry_space_group_name_Hall '-C 2c 2'
loop_
_atom_site_label
_atom_site_type_symbol
_atom_site_fract_x
_atom_site_fract_y
_atom_site_fract_z
Sm1 Sm 0.0000 0.0613 0.2500
Sm2 Sm 0.0000 0.3659 0.0515
Au1 Au 0.0000 0.2396 0.7500
```

Largest 6 diffraction maxima, by angle, 2θ from 15° to 90°:
30.49°, d 2.932, intensity 100, (0 2 3); 31.88°, d 2.807, intensity 21, (1 3 0); 33.17°, d 2.701, intensity 80, (1 3 1); 33.89°, d 2.645, intensity 47, (0 4 2); 36.71°, d 2.448, intensity 56, (1 1 3); 56.73°, d 1.623, intensity 30, (1 3 5)

***

(2)
This entry pairs a crystal structure of Nd4CuSn8 with its calculated X-ray diffraction stick pattern. Radiation: Cu Kα (weighted mean of Kα1 and Kα2). Structure: a cell relaxed with PBE.

Crystal structure
```
data_Nd4CuSn8
_chemical_formula_sum 'Nd4 Cu1 Sn8'
_cell_length_a 4.4434
_cell_length_b 4.5179
_cell_length_c 17.5440
_cell_angle_alpha 90.00
_cell_angle_beta 90.00
_cell_angle_gamma 90.00
_symmetry_space_group_name_H-M 'P m m 2'
_symmetry_Int_Tables_number 25
_symmetry_space_group_name_Hall 'P 2 -2'
loop_
_atom_site_label
_atom_site_type_symbol
_atom_site_fract_x
_atom_site_fract_y
_atom_site_fract_z
Nd1 Nd 0.0000 0.0000 0.0000
Nd2 Nd 0.0000 0.5000 0.4877
Nd3 Nd 0.5000 0.0000 0.7901
Nd4 Nd 0.5000 0.5000 0.2893
Cu1 Cu 0.0000 0.5000 0.7124
Sn1 Sn 0.0000 0.0000 0.3267
Sn2 Sn 0.0000 0.0000 0.6309
Sn3 Sn 0.0000 0.5000 0.1428
Sn4 Sn 0.0000 0.5000 0.8566
Sn5 Sn 0.5000 0.0000 0.1474
Sn6 Sn 0.5000 0.0000 0.4416
Sn7 Sn 0.5000 0.5000 0.6292
Sn8 Sn 0.5000 0.5000 0.9672
```

Largest 6 diffraction maxima, by angle, 2θ from 15° to 90°:
30.57°, d 2.924, intensity 16, (0 0 6); 32.13°, d 2.786, intensity 100, (1 1 3); 39.91°, d 2.259, intensity 18, (0 2 0); 40.61°, d 2.222, intensity 18, (2 0 0); 51.07°, d 1.788, intensity 13, (0 2 6); 67.61°, d 1.386, intensity 13, (1 3 3)

***

(3)
This entry pairs a crystal structure of Li3B8C8 with its calculated X-ray diffraction stick pattern. Radiation: Cu Kα (weighted mean of Kα1 and Kα2). Structure: a cell relaxed with PBE.

Crystal structure
```
data_Li3B8C8
_chemical_formula_sum 'Li6 B16 C16'
_cell_length_a 25.1048
_cell_length_b 2.7482
_cell_length_c 4.7307
_cell_angle_alpha 90.00
_cell_angle_beta 97.15
_cell_angle_gamma 90.00
_symmetry_space_group_name_H-M 'C 1 m 1'
_symmetry_Int_Tables_number 8
_symmetry_space_group_name_Hall 'C -2y'
loop_
_atom_site_label
_atom_site_type_symbol
_atom_site_fract_x
_atom_site_fract_y
_atom_site_fract_z
Li1 Li 0.0000 0.0000 0.0000
Li2 Li 0.1369 0.5000 0.5944
Li3 Li 0.3610 0.5000 0.9168
B1 B 0.0677 0.0000 0.6883
B2 B 0.0765 0.5000 0.1925
B3 B 0.2141 0.0000 0.4833
B4 B 0.2157 0.5000 0.9919
B5 B 0.2823 0.5000 0.5179
B6 B 0.2832 0.0000 0.0257
B7 B 0.4263 0.0000 0.7837
B8 B 0.4273 0.5000 0.2940
C1 C 0.0683 0.5000 0.8515
C2 C 0.0770 0.0000 0.3568
C3 C 0.2139 0.5000 0.3194
C4 C 0.2164 0.0000 0.8207
C5 C 0.2815 0.0000 0.6889
C6 C 0.2839 0.5000 0.1902
C7 C 0.4257 0.5000 0.6289
C8 C 0.4266 0.0000 0.1285
```

Largest 6 diffraction maxima, by angle, 2θ from 15° to 90°:
21.40°, d 4.152, intensity 100, (6 0 0); 28.67°, d 3.114, intensity 22, (8 0 0); 37.88°, d 2.375, intensity 13, (1 1 -1); 44.56°, d 2.033, intensity 11, (7 1 -1); 51.35°, d 1.779, intensity 18, (14 0 0); 74.29°, d 1.277, intensity 11, (5 1 3)

***

(4)
This entry pairs a crystal structure of Tb3SmNi8 with its calculated X-ray diffraction stick pattern. Radiation: Cu Kα (weighted mean of Kα1 and Kα2). Structure: a cell relaxed with PBE.

Crystal structure
```
data_Tb3SmNi8
_chemical_formula_sum 'Tb9 Sm3 Ni24'
_cell_length_a 5.0864
_cell_length_b 5.0864
_cell_length_c 24.9913
_cell_angle_alpha 90.00
_cell_angle_beta 90.00
_cell_angle_gamma 120.00
_symmetry_space_group_name_H-M 'R 3 m'
_symmetry_Int_Tables_number 160
_symmetry_space_group_name_Hall 'R 3 -2"'
loop_
_atom_site_label
_atom_site_type_symbol
_atom_site_fract_x
_atom_site_fract_y
_atom_site_fract_z
Tb1 Tb 0.0000 0.0000 0.0000
Tb2 Tb 0.0000 0.0000 0.1246
Tb3 Tb 0.0000 0.0000 0.4994
Sm1 Sm 0.0000 0.0000 0.6245
Ni1 Ni 0.0000 0.0000 0.3122
Ni2 Ni 0.0000 0.0000 0.8120
Ni3 Ni 0.9998 0.4999 0.5615
Ni4 Ni 0.0013 0.5006 0.0626
```

Largest 6 diffraction maxima, by angle, 2θ from 15° to 90°:
21.37°, d 4.157, intensity 12, (0 1 2); 35.26°, d 2.546, intensity 62, (1 1 0); 41.60°, d 2.171, intensity 100, (1 0 10); 43.57°, d 2.077, intensity 12, (0 2 4); 63.31°, d 1.469, intensity 17, (3 0 0); 67.63°, d 1.385, intensity 23, (2 1 10)

***

(5)
This entry pairs a crystal structure of Cr5N2 with its calculated X-ray diffraction stick pattern. Radiation: Cu Kα (weighted mean of Kα1 and Kα2). Structure: a cell relaxed with PBE.

Crystal structure
```
data_Cr5N2
_chemical_formula_sum 'Cr20 N8'
_cell_length_a 12.2214
_cell_length_b 4.5293
_cell_length_c 4.9375
_cell_angle_alpha 90.00
_cell_angle_beta 96.46
_cell_angle_gamma 90.00
_symmetry_space_group_name_H-M 'C 1 2/c 1'
_symmetry_Int_Tables_number 15
_symmetry_space_group_name_Hall '-C 2yc'
loop_
_atom_site_label
_atom_site_type_symbol
_atom_site_fract_x
_atom_site_fract_y
_atom_site_fract_z
Cr1 Cr 0.0000 0.0645 0.2500
Cr2 Cr 0.1077 0.4312 0.9058
Cr3 Cr 0.2075 0.0787 0.2991
N1 N 0.1063 0.1792 0.5726
```

Largest 6 diffraction maxima, by angle, 2θ from 15° to 90°:
39.80°, d 2.265, intensity 26, (0 2 0); 41.21°, d 2.191, intensity 22, (2 0 2); 42.22°, d 2.140, intensity 100, (5 1 0); 44.04°, d 2.056, intensity 45, (0 2 1); 45.66°, d 1.987, intensity 33, (3 1 -2); 47.34°, d 1.920, intensity 21, (2 2 1)

***

(6)
This entry pairs a crystal structure of NaPmCd4 with its calculated X-ray diffraction stick pattern. Radiation: Cu Kα (weighted mean of Kα1 and Kα2). Structure: a cell relaxed with PBE.

Crystal structure
```
data_NaPmCd4
_chemical_formula_sum 'Na1 Pm1 Cd4'
_cell_length_a 3.3150
_cell_length_b 5.0821
_cell_length_c 8.9088
_cell_angle_alpha 90.00
_cell_angle_beta 90.00
_cell_angle_gamma 90.00
_symmetry_space_group_name_H-M 'P m m m'
_symmetry_Int_Tables_number 47
_symmetry_space_group_name_Hall '-P 2 2'
loop_
_atom_site_label
_atom_site_type_symbol
_atom_site_fract_x
_atom_site_fract_y
_atom_site_fract_z
Na1 Na 0.0000 0.0000 0.0000
Pm1 Pm 0.0000 0.5000 0.5000
Cd1 Cd 0.5000 0.0000 0.3314
Cd2 Cd 0.5000 0.5000 0.1622
```

Largest 6 diffraction maxima, by angle, 2θ from 15° to 90°:
33.70°, d 2.659, intensity 43, (1 0 2); 33.81°, d 2.651, intensity 90, (1 1 1); 35.00°, d 2.564, intensity 100, (0 1 3); 35.32°, d 2.541, intensity 49, (0 2 0); 49.62°, d 1.837, intensity 28, (1 2 2); 67.26°, d 1.392, intensity 28, (2 1 3)

***

(7)
This entry pairs a crystal structure of NdTm2ScS6 with its calculated X-ray diffraction stick pattern. Radiation: Cu Kα (weighted mean of Kα1 and Kα2). Structure: a cell relaxed with PBE.

Crystal structure
```
data_NdTm2ScS6
_chemical_formula_sum 'Nd3 Tm6 Sc3 S18'
_cell_length_a 6.8255
_cell_length_b 6.8255
_cell_length_c 18.2725
_cell_angle_alpha 90.00
_cell_angle_beta 90.00
_cell_angle_gamma 120.00
_symmetry_space_group_name_H-M 'R 3'
_symmetry_Int_Tables_number 146
_symmetry_space_group_name_Hall 'R 3'
loop_
_atom_site_label
_atom_site_type_symbol
_atom_site_fract_x
_atom_site_fract_y
_atom_site_fract_z
Nd1 Nd 0.0000 0.0000 0.0000
Tm1 Tm 0.0000 0.0000 0.2906
Tm2 Tm 0.0000 0.0000 0.7974
Sc1 Sc 0.0000 0.0000 0.4895
S1 S 0.0219 0.7213 0.3941
S2 S 0.0263 0.3480 0.5579
```

Largest 6 diffraction maxima, by angle, 2θ from 15° to 90°:
17.87°, d 4.963, intensity 63, (0 1 2); 24.63°, d 3.615, intensity 100, (1 0 4); 26.11°, d 3.413, intensity 90, (1 1 0); 36.20°, d 2.481, intensity 49, (0 2 4); 39.67°, d 2.272, intensity 82, (2 -1 6); 46.07°, d 1.970, intensity 50, (3 0 0)

***

(8)
This entry pairs a crystal structure of Tb2Nd2Y5 with its calculated X-ray diffraction stick pattern. Radiation: Cu Kα (weighted mean of Kα1 and Kα2). Structure: a cell relaxed with PBE.

Crystal structure
```
data_Tb2Nd2Y5
_chemical_formula_sum 'Tb4 Nd4 Y10'
_cell_length_a 21.7834
_cell_length_b 3.5117
_cell_length_c 8.3174
_cell_angle_alpha 90.00
_cell_angle_beta 100.29
_cell_angle_gamma 90.00
_symmetry_space_group_name_H-M 'C 1 2/m 1'
_symmetry_Int_Tables_number 12
_symmetry_space_group_name_Hall '-C 2y'
loop_
_atom_site_label
_atom_site_type_symbol
_atom_site_fract_x
_atom_site_fract_y
_atom_site_fract_z
Tb1 Tb 0.0464 0.0000 0.3567
Nd1 Nd 0.1819 0.5000 0.1450
Y1 Y 0.0000 0.5000 0.0000
Y2 Y 0.0970 0.5000 0.7361
Y3 Y 0.1902 0.0000 0.5284
```

Largest 6 diffraction maxima, by angle, 2θ from 15° to 90°:
25.36°, d 3.512, intensity 65, (6 0 -1); 27.66°, d 3.225, intensity 62, (1 1 -1); 29.56°, d 3.022, intensity 73, (3 1 -1); 29.75°, d 3.003, intensity 79, (4 0 2); 32.39°, d 2.764, intensity 75, (2 0 -3); 35.99°, d 2.495, intensity 100, (5 1 1)